Entry 1:
Computed powder XRD pattern
Compound: TbSm5Rh6
Radiation: Cu Kα X-rays
Structure: a cell relaxed with PBE
Lines closer than 0.1° are merged.

```
data_TbSm5Rh6
_space_group_name_H-M_alt 'P 1 2/m 1'
_space_group_IT_number 10
_space_group_name_Hall '-P 2y'
_cell_length_a 4.9568
_cell_length_b 6.9182
_cell_length_c 7.8347
_cell_angle_alpha 90.00
_cell_angle_beta 108.33
_cell_angle_gamma 90.00
loop_
_atom_site_label
_atom_site_type_symbol
_atom_site_fract_x
_atom_site_fract_y
_atom_site_fract_z
Tb1 Tb 0.0000 0.0000 0.0000
Sm1 Sm 0.0000 0.5000 0.0000
Sm2 Sm 0.3333 0.5000 0.6667
Sm3 Sm 0.3337 0.0000 0.6675
Rh1 Rh 0.1653 0.2487 0.3304
Rh2 Rh 0.5000 0.2463 0.0000
```

The 6 most intense peaks (5° ≤ 2θ ≤ 70°), in order of rising 2θ:
index, d [Å], Rel. int.
0 0 3, 2.479, 51
1 2 1, 2.462, 100
2 0 2, 1.754, 9
2 0 -4, 1.751, 9
3 2 0, 1.428, 36
0 4 3, 1.418, 18


Entry 2:
Computed powder XRD pattern
Compound: Tb3SmRh
Radiation: Cu Kα X-rays
Structure: a cell relaxed with PBE
Lines closer than 0.1° are merged.

```
data_Tb3SmRh
_space_group_name_H-M_alt 'P m n 21'
_space_group_IT_number 31
_space_group_name_Hall 'P 2ac -2'
_cell_length_a 7.6108
_cell_length_b 6.5403
_cell_length_c 6.2078
_cell_angle_alpha 90.00
_cell_angle_beta 90.00
_cell_angle_gamma 90.00
loop_
_atom_site_label
_atom_site_type_symbol
_atom_site_fract_x
_atom_site_fract_y
_atom_site_fract_z
Tb1 Tb 0.0000 0.1526 0.0000
Tb2 Tb 0.2489 0.6834 0.0089
Sm1 Sm 0.0000 0.8519 0.5166
Rh1 Rh 0.0000 0.4965 0.2583
```

The 6 most intense peaks (5° ≤ 2θ ≤ 70°), in order of rising 2θ:
index, d [Å], Rel. int.
0 0 2, 3.104, 27
2 1 1, 2.906, 100
0 2 1, 2.893, 47
2 1 2, 2.257, 29
2 3 0, 1.892, 25
2 1 3, 1.751, 23


Entry 3:
Computed powder XRD pattern
Compound: Sm6Te5Rh
Radiation: Cu Kα X-rays
Structure: a cell relaxed with PBE
Lines closer than 0.1° are merged.

```
data_Sm6Te5Rh
_space_group_name_H-M_alt 'C 1 2/m 1'
_space_group_IT_number 12
_space_group_name_Hall '-C 2y'
_cell_length_a 7.6974
_cell_length_b 13.2663
_cell_length_c 7.6454
_cell_angle_alpha 90.00
_cell_angle_beta 109.60
_cell_angle_gamma 90.00
loop_
_atom_site_label
_atom_site_type_symbol
_atom_site_fract_x
_atom_site_fract_y
_atom_site_fract_z
Sm1 Sm 0.2226 0.0000 0.2609
Sm2 Sm 0.2234 0.1505 0.7249
Te1 Te 0.0000 0.1805 0.0000
Te2 Te 0.0000 0.3361 0.5000
Te3 Te 0.0000 0.5000 0.0000
Rh1 Rh 0.0000 0.0000 0.5000
```

The 6 most intense peaks (5° ≤ 2θ ≤ 70°), in order of rising 2θ:
index, d [Å], Rel. int.
2 0 -2, 3.129, 100
3 3 -1, 2.219, 24
1 3 -3, 2.209, 47
4 0 0, 1.813, 7
2 6 -2, 1.807, 12
3 3 -5, 1.398, 13


Entry 4:
Computed powder XRD pattern
Compound: Sm2ThRh2
Radiation: Cu Kα X-rays
Structure: a cell relaxed with PBE
Lines closer than 0.1° are merged.

```
data_Sm2ThRh2
_space_group_name_H-M_alt 'C 1 2/m 1'
_space_group_IT_number 12
_space_group_name_Hall '-C 2y'
_cell_length_a 13.0512
_cell_length_b 3.8858
_cell_length_c 11.6765
_cell_angle_alpha 90.00
_cell_angle_beta 120.26
_cell_angle_gamma 90.00
loop_
_atom_site_label
_atom_site_type_symbol
_atom_site_fract_x
_atom_site_fract_y
_atom_site_fract_z
Sm1 Sm 0.0476 0.0000 0.1941
Sm2 Sm 0.1627 0.0000 0.5661
Th1 Th 0.1985 0.5000 0.8503
Rh1 Rh 0.0039 0.5000 0.3763
Rh2 Rh 0.1279 0.5000 0.0521
```

The 6 most intense peaks (5° ≤ 2θ ≤ 70°), in order of rising 2θ:
index, d [Å], Rel. int.
3 1 -1, 2.883, 100
1 1 2, 2.761, 77
1 1 -3, 2.712, 60
4 0 -4, 2.660, 76
3 1 -3, 2.619, 80
3 1 1, 2.401, 90


Entry 5:
Computed powder XRD pattern
Compound: Sm2ThRh9
Radiation: Cu Kα X-rays
Structure: a cell relaxed with PBE
Lines closer than 0.1° are merged.

```
data_Sm2ThRh9
_space_group_name_H-M_alt 'R -3 m'
_space_group_IT_number 166
_space_group_name_Hall '-R 3 2"'
_cell_length_a 5.2965
_cell_length_b 5.2965
_cell_length_c 26.6318
_cell_angle_alpha 90.00
_cell_angle_beta 90.00
_cell_angle_gamma 120.00
loop_
_atom_site_label
_atom_site_type_symbol
_atom_site_fract_x
_atom_site_fract_y
_atom_site_fract_z
Sm1 Sm 0.0000 0.0000 0.1398
Th1 Th 0.0000 0.0000 0.0000
Rh1 Rh 0.0000 0.0000 0.3330
Rh2 Rh 0.0000 0.0000 0.5000
Rh3 Rh 0.9999 0.4999 0.0824
```

The 6 most intense peaks (5° ≤ 2θ ≤ 70°), in order of rising 2θ:
index, d [Å], Rel. int.
1 0 7, 2.928, 30
0 1 8, 2.694, 30
1 1 0, 2.648, 37
0 2 1, 2.285, 35
1 1 6, 2.274, 100
3 0 6, 1.446, 24


Entry 6:
Computed powder XRD pattern
Compound: SmThRh
Radiation: Cu Kα X-rays
Structure: a cell relaxed with PBE
Lines closer than 0.1° are merged.

```
data_SmThRh
_space_group_name_H-M_alt 'P 1 21/c 1'
_space_group_IT_number 14
_space_group_name_Hall '-P 2ybc'
_cell_length_a 7.1019
_cell_length_b 6.0670
_cell_length_c 10.2011
_cell_angle_alpha 90.00
_cell_angle_beta 128.54
_cell_angle_gamma 90.00
loop_
_atom_site_label
_atom_site_type_symbol
_atom_site_fract_x
_atom_site_fract_y
_atom_site_fract_z
Sm1 Sm 0.2030 0.1325 0.3806
Th1 Th 0.3246 0.6367 0.6249
Rh1 Rh 0.3153 0.6291 0.3473
```

The 6 most intense peaks (5° ≤ 2θ ≤ 70°), in order of rising 2θ:
index, d [Å], Rel. int.
0 1 2, 3.333, 51
1 1 -3, 2.929, 51
1 2 -1, 2.788, 100
2 0 0, 2.777, 41
2 1 0, 2.527, 55
2 1 -4, 2.336, 38